1.
Tb2YSn2Pb5: calculated powder diffractogram (Cu Kα (λ = 1.5418 Å)), based on a cell relaxed with PBE.

Principal peaks in the range 5° ≤ 2θ ≤ 70°, in order of rising 2θ:
(hkl)	2θ (°)	I_rel
1 5 1	32.38	100
0 10 0	33.30	20
0 0 2	39.03	16
2 0 0	40.06	15
0 10 2	52.22	12
1 15 1	58.92	13
1 5 3	66.54	13
3 5 1	67.96	12

Cell and atoms:
```
data_Tb2YSn2Pb5
_space_group_name_H-M_alt 'C m m m'
_space_group_IT_number 65
_space_group_name_Hall '-C 2 2'
_cell_length_a 4.502
_cell_length_b 26.908
_cell_length_c 4.615
_cell_angle_alpha 90.00
_cell_angle_beta 90.00
_cell_angle_gamma 90.00
loop_
_atom_site_label
_atom_site_fract_x
_atom_site_fract_y
_atom_site_fract_z
Tb1 0.000 0.190 0.000
Y1 0.000 0.500 0.500
Sn1 0.000 0.404 0.000
Pb1 0.000 0.000 0.000
Pb2 0.000 0.098 0.500
Pb3 0.000 0.291 0.500
```

2.
Nb4GeBiN2: calculated powder diffractogram (Cu Kα (λ = 1.5418 Å)), based on a cell relaxed with PBE.

Principal peaks in the range 5° ≤ 2θ ≤ 70°, in order of rising 2θ:
(hkl)	2θ (°)	I_rel
0 0 1	6.84	18
1 0 0	31.04	28
1 0 2	34.07	16
1 0 3	37.55	100
0 0 6	41.92	12
1 0 6	53.07	12
1 1 0	55.23	24
2 0 3	68.71	17

Cell and atoms:
```
data_Nb4GeBiN2
_space_group_name_H-M_alt 'P -6 m 2'
_space_group_IT_number 187
_space_group_name_Hall 'P -6 2'
_cell_length_a 3.3264
_cell_length_b 3.3264
_cell_length_c 12.9318
_cell_angle_alpha 90.00
_cell_angle_beta 90.00
_cell_angle_gamma 120.00
loop_
_atom_site_label
_atom_site_fract_x
_atom_site_fract_y
_atom_site_fract_z
Nb1 0.0000 0.0000 0.1469
Nb2 0.6667 0.3333 0.3163
Ge1 0.6667 0.3333 0.0000
Bi1 0.0000 0.0000 0.5000
N1 0.3333 0.6667 0.2365
```

3.
CsDyTeSe: calculated powder diffractogram (Cu Kα (λ = 1.5418 Å)), based on a cell relaxed with PBE.

Principal peaks in the range 5° ≤ 2θ ≤ 70°, in order of rising 2θ:
(hkl)	2θ (°)	I_rel
0 0 2	10.23	23
1 0 2	25.59	55
1 0 3	28.11	100
1 0 4	31.33	28
1 0 6	39.22	48
1 1 0	41.11	53
2 0 3	50.55	19
2 1 3	67.12	16

Cell and atoms:
```
data_CsDyTeSe
_space_group_name_H-M_alt 'P 63 m c'
_space_group_IT_number 186
_space_group_name_Hall 'P 6c -2c'
_cell_length_a 4.3909
_cell_length_b 4.3909
_cell_length_c 17.2949
_cell_angle_alpha 90.00
_cell_angle_beta 90.00
_cell_angle_gamma 120.00
loop_
_atom_site_label
_atom_site_fract_x
_atom_site_fract_y
_atom_site_fract_z
Cs1 0.3333 0.6667 0.0000
Dy1 0.0000 0.0000 0.2638
Te1 0.3333 0.6667 0.6608
Se1 0.3333 0.6667 0.3491
```

4.
TlNi3Ge5: calculated powder diffractogram (Cu Kα (λ = 1.5418 Å)), based on a cell relaxed with PBE.

Principal peaks in the range 5° ≤ 2θ ≤ 70°, in order of rising 2θ:
(hkl)	2θ (°)	I_rel
1 0 1	23.99	43
1 0 2	31.70	100
1 1 0	36.51	73
1 1 1	38.48	28
1 0 3	41.76	27
2 0 2	49.11	89
1 1 4	62.06	23
2 1 2	62.72	29

Cell and atoms:
```
data_TlNi3Ge5
_space_group_name_H-M_alt 'P 6/m m m'
_space_group_IT_number 191
_space_group_name_Hall '-P 6 2'
_cell_length_a 4.9224
_cell_length_b 4.9224
_cell_length_c 7.5314
_cell_angle_alpha 90.00
_cell_angle_beta 90.00
_cell_angle_gamma 120.00
loop_
_atom_site_label
_atom_site_fract_x
_atom_site_fract_y
_atom_site_fract_z
Tl1 0.0000 0.0000 0.0000
Ni1 0.0000 0.5000 0.5000
Ge1 0.0000 0.0000 0.5000
Ge2 0.3333 0.6667 0.2225
```

5.
ErAgS2: calculated powder diffractogram (Cu Kα (λ = 1.5418 Å)), based on a cell relaxed with PBE.

Principal peaks in the range 5° ≤ 2θ ≤ 70°, in order of rising 2θ:
(hkl)	2θ (°)	I_rel
1 1 2	25.81	100
0 0 4	29.03	10
2 0 0	30.31	18
2 0 4	42.46	37
2 2 0	43.40	18
1 1 6	49.53	16
3 1 2	51.18	30
3 1 6	67.93	13

Cell and atoms:
```
data_ErAgS2
_space_group_name_H-M_alt 'I -4 2 d'
_space_group_IT_number 122
_space_group_name_Hall 'I -4 2bw'
_cell_length_a 5.898
_cell_length_b 5.898
_cell_length_c 12.305
_cell_angle_alpha 90.00
_cell_angle_beta 90.00
_cell_angle_gamma 90.00
loop_
_atom_site_label
_atom_site_fract_x
_atom_site_fract_y
_atom_site_fract_z
Er1 0.000 0.000 0.000
Ag1 0.000 0.000 0.500
S1 0.248 0.750 0.125
```

6.
HfCdNO: calculated powder diffractogram (Cu Kα (λ = 1.5418 Å)), based on a cell relaxed with PBE.

Principal peaks in the range 5° ≤ 2θ ≤ 70°, in order of rising 2θ:
(hkl)	2θ (°)	I_rel
0 1 0	11.41	26
1 2 0	26.05	74
2 0 1	32.07	100
1 2 1	33.30	96
0 0 2	41.46	33
3 2 0	44.08	35
2 4 1	57.92	35
3 2 2	62.10	25

Cell and atoms:
```
data_HfCdNO
_space_group_name_H-M_alt 'P c a 21'
_space_group_IT_number 29
_space_group_name_Hall 'P 2c -2ac'
_cell_length_a 7.268
_cell_length_b 7.754
_cell_length_c 4.356
_cell_angle_alpha 90.00
_cell_angle_beta 90.00
_cell_angle_gamma 90.00
loop_
_atom_site_label
_atom_site_fract_x
_atom_site_fract_y
_atom_site_fract_z
Hf1 0.098 0.116 0.000
Cd1 0.120 0.640 0.002
N1 0.114 0.076 0.500
O1 0.042 0.360 0.998
```

7.
SnPt9: calculated powder diffractogram (Cu Kα (λ = 1.5418 Å)), based on a cell relaxed with PBE.

Principal peaks in the range 5° ≤ 2θ ≤ 70°, in order of rising 2θ:
(hkl)	2θ (°)	I_rel
0 0 3	5.18	13
1 0 13	38.85	100
1 0 14	39.95	47
1 1 0	44.67	50
0 0 27	48.02	13
2 0 0	65.02	17
1 1 26	66.16	12
1 1 27	67.66	18

Cell and atoms:
```
data_SnPt9
_space_group_name_H-M_alt 'P 4/n m m'
_space_group_IT_number 129
_cell_length_a 2.869
_cell_length_b 2.869
_cell_length_c 51.154
_cell_angle_alpha 90.00
_cell_angle_beta 90.00
_cell_angle_gamma 90.00
loop_
_space_group_symop_operation_xyz
'x,y,z'
'-x,-y,-z'
'-y+1/2,x,z'
'y+1/2,-x,-z'
'-x+1/2,-y+1/2,z'
'x+1/2,y+1/2,-z'
'y,-x+1/2,z'
'-y,x+1/2,-z'
'x+1/2,-y,-z'
'-x+1/2,y,z'
'-y,-x,-z'
'y,x,z'
'-x,y+1/2,-z'
'x,-y+1/2,z'
'y+1/2,x+1/2,-z'
'-y+1/2,-x+1/2,z'
loop_
_atom_site_label
_atom_site_fract_x
_atom_site_fract_y
_atom_site_fract_z
Sn1 0.250 0.250 0.139
Pt1 0.250 0.250 0.219
Pt2 0.250 0.250 0.295
Pt3 0.250 0.250 0.369
Pt4 0.250 0.250 0.444
Pt5 0.250 0.250 0.519
Pt6 0.250 0.250 0.593
Pt7 0.250 0.250 0.668
Pt8 0.250 0.250 0.743
Pt9 0.250 0.250 0.820
```

8.
Ni2B: calculated powder diffractogram (Cu Kα (λ = 1.5418 Å)), based on a cell relaxed with PBE.

Principal peaks in the range 5° ≤ 2θ ≤ 70°, in order of rising 2θ:
(hkl)	2θ (°)	I_rel
1 1 0	32.84	27
1 0 1	34.34	19
1 1 1	44.02	100
2 0 1	48.25	36
2 1 0	51.17	40
3 0 0	58.64	11
0 0 2	58.94	15
1 1 2	69.14	6

Cell and atoms:
```
data_Ni2B
_space_group_name_H-M_alt 'P -6 2 m'
_space_group_IT_number 189
_space_group_name_Hall 'P -6 -2'
_cell_length_a 5.4537
_cell_length_b 5.4537
_cell_length_c 3.1339
_cell_angle_alpha 90.00
_cell_angle_beta 90.00
_cell_angle_gamma 120.00
loop_
_atom_site_label
_atom_site_fract_x
_atom_site_fract_y
_atom_site_fract_z
Ni1 0.0000 0.2595 0.0000
Ni2 0.0000 0.5965 0.5000
B1 0.0000 0.0000 0.5000
B2 0.3333 0.6667 0.0000
```

9.
PmZn4Pd2: calculated powder diffractogram (Cu Kα (λ = 1.5418 Å)), based on a cell relaxed with PBE.

Principal peaks in the range 5° ≤ 2θ ≤ 70°, in order of rising 2θ:
(hkl)	2θ (°)	I_rel
2 2 0	33.49	38
2 1 1	33.77	100
3 1 0	37.58	39
2 2 1	39.74	42
0 0 2	42.26	45
3 1 1	43.32	80
3 1 2	57.82	22
4 3 1	65.41	22

Cell and atoms:
```
data_PmZn4Pd2
_space_group_name_H-M_alt 'P 42/m n m'
_space_group_IT_number 136
_space_group_name_Hall '-P 4n 2n'
_cell_length_a 7.568
_cell_length_b 7.568
_cell_length_c 4.277
_cell_angle_alpha 90.00
_cell_angle_beta 90.00
_cell_angle_gamma 90.00
loop_
_atom_site_label
_atom_site_fract_x
_atom_site_fract_y
_atom_site_fract_z
Pm1 0.000 0.000 0.000
Zn1 0.095 0.352 0.500
Pd1 0.219 0.781 0.500
```

10.
Pr4CBr3Cl2: calculated powder diffractogram (Cu Kα (λ = 1.5418 Å)), based on a cell relaxed with PBE.

Principal peaks in the range 5° ≤ 2θ ≤ 70°, in order of rising 2θ:
(hkl)	2θ (°)	I_rel
2 0 0	9.91	36
0 0 1	10.83	68
6 0 0	30.04	45
3 1 1	30.57	19
1 1 -2	30.89	100
5 1 -1	33.44	21
7 1 -2	43.22	26
5 1 2	44.04	31

Cell and atoms:
```
data_Pr4CBr3Cl2
_space_group_name_H-M_alt 'C 1 2/m 1'
_space_group_IT_number 12
_space_group_name_Hall '-C 2y'
_cell_length_a 18.454
_cell_length_b 3.976
_cell_length_c 8.449
_cell_angle_alpha 90.00
_cell_angle_beta 104.73
_cell_angle_gamma 90.00
loop_
_atom_site_label
_atom_site_fract_x
_atom_site_fract_y
_atom_site_fract_z
Pr1 0.000 0.000 0.208
Pr2 0.142 0.500 0.084
C1 0.000 0.500 0.000
Br1 0.000 0.500 0.500
Br2 0.170 0.000 0.834
Cl1 0.161 0.000 0.332
```

11.
Hf4Cd2PC: calculated powder diffractogram (Cu Kα (λ = 1.5418 Å)), based on a cell relaxed with PBE.

Principal peaks in the range 5° ≤ 2θ ≤ 70°, in order of rising 2θ:
(hkl)	2θ (°)	I_rel
0 0 2	11.53	5
1 0 0	30.35	18
1 0 3	35.14	100
0 1 4	38.53	5
0 1 6	47.05	14
1 1 0	53.92	19
1 0 9	62.97	10
0 2 3	65.99	28

Cell and atoms:
```
data_Hf4Cd2PC
_space_group_name_H-M_alt 'P -3 m 1'
_space_group_IT_number 164
_space_group_name_Hall '-P 3 2"'
_cell_length_a 3.4009
_cell_length_b 3.4009
_cell_length_c 15.3516
_cell_angle_alpha 90.00
_cell_angle_beta 90.00
_cell_angle_gamma 120.00
loop_
_atom_site_label
_atom_site_fract_x
_atom_site_fract_y
_atom_site_fract_z
Hf1 0.3333 0.6667 0.0781
Hf2 0.3333 0.6667 0.3997
Cd1 0.3333 0.6667 0.7602
P1 0.0000 0.0000 0.5000
C1 0.0000 0.0000 0.0000
```